Starting from the PBE geometry in Alexandria, the powder X-ray diffraction pattern of PrY2Ho4 was simulated for copper Kα.
Lines closer than 0.1° are merged.

Atomic structure:
a b c (Å): 8.540 8.540 8.773
angles (deg): 118.67 118.67 23.85
Element x y z (fractional)
Pr: 0.000 0.000 0.000
Y: 0.071 0.071 0.431
Y: 0.929 0.929 0.569
Ho: 0.294 0.294 0.706
Ho: 0.357 0.357 0.164
Ho: 0.643 0.643 0.836
Ho: 0.706 0.706 0.294

Largest 8 diffraction maxima, by angle, 2θ = 10–80°:
- 30.1 deg, I = 40
- 31.3 deg, I = 100
- 31.5 deg, I = 43
- 32.8 deg, I = 41
- 33.0 deg, I = 50
- 48.2 deg, I = 21
- 57.8 deg, I = 16
- 61.8 deg, I = 26